La2Si4CN6: calculated XRD peak list (Cu Kα X-rays), based on a GGA-PBE-relaxed structure.
No peak broadening, texture or thermal motion is included.

The 12 most intense peaks (2θ = 10–90°), low angle first:
| (hkl) | 2θ/deg | I_rel |
| --- | --- | --- |
| 0 1 1 | 16.90 | 19 |
| 1 1 1 | 19.01 | 23 |
| 2 1 2 | 28.41 | 14 |
| 0 1 3 | 29.30 | 44 |
| 0 2 0 | 29.57 | 26 |
| 3 1 1 | 31.26 | 100 |
| 2 1 3 | 34.24 | 48 |
| 2 2 0 | 34.48 | 25 |
| 1 0 4 | 35.02 | 16 |
| 1 2 2 | 35.32 | 31 |
| 3 2 2 | 43.52 | 14 |
| 3 3 1 | 53.57 | 17 |

Structure:
```
data_La2Si4CN6
_cell_length_a 10.2288
_cell_length_b 6.0411
_cell_length_c 10.5913
_cell_angle_alpha 90.00
_cell_angle_beta 90.00
_cell_angle_gamma 90.00
_space_group_name_H-M_alt 'P n m a'
_space_group_IT_number 62
loop_
_space_group_symop_operation_xyz
'x,y,z'
'-x,-y,-z'
'-x+1/2,-y,z+1/2'
'x+1/2,y,-z+1/2'
'x+1/2,-y+1/2,-z+1/2'
'-x+1/2,y+1/2,z+1/2'
'-x,y+1/2,-z'
'x,-y+1/2,z'
loop_
_atom_site_label
_atom_site_type_symbol
_atom_site_fract_x
_atom_site_fract_y
_atom_site_fract_z
La1 La 0.0491 0.2500 0.1041
La2 La 0.0927 0.7500 0.5607
Si1 Si 0.0176 0.2500 0.7387
Si2 Si 0.2018 0.7500 0.0755
Si3 Si 0.2274 0.0034 0.3299
C1 C 0.2051 0.2500 0.7359
N1 N 0.0340 0.7500 0.1073
N2 N 0.0542 0.5198 0.3352
N3 N 0.2203 0.5092 0.9865
N4 N 0.2312 0.7500 0.7530
```